Entry 1:
Computed powder XRD pattern
Compound: La3Th2Pb3
Radiation: Cu Kα (weighted mean of Kα1 and Kα2)
Structure: a GGA-PBE-relaxed structure
Lines closer than 0.1° are merged.

Atomic structure:
Unit cell a=9.6994 b=9.6994 c=6.6508 alpha=90.00 beta=90.00 gamma=120.00
Space group P6_3/mcm (No. 193)
Symmetry-distinct sites (fractional):
La (0.0000, 0.2568, 0.2500)
Th (0.3333, 0.6667, 0.0000)
Pb (0.0000, 0.3852, 0.7500)

Top 12 peaks for 2θ = 5–70°, sorted by position:
(1 0 0), d 8.400, rel. 34.0
(2 1 0), d 3.175, rel. 25.0
(2 1 1), d 2.865, rel. 73.0
(3 0 0), d 2.800, rel. 76.3
(1 1 2), d 2.743, rel. 100.0
(2 0 2), d 2.607, rel. 13.5
(3 1 1), d 2.199, rel. 20.4
(2 2 2), d 1.959, rel. 26.7
(2 1 3), d 1.818, rel. 19.6
(4 1 2), d 1.606, rel. 22.3
(5 0 2), d 1.499, rel. 16.5
(3 0 4), d 1.430, rel. 20.4

Entry 2:
Computed powder XRD pattern
Compound: NdTaHN2
Radiation: Cu Kα (weighted mean of Kα1 and Kα2)
Structure: a GGA-PBE-relaxed structure
Lines closer than 0.1° are merged.

Atomic structure:
Unit cell a=5.8349 b=5.8349 c=7.3491 alpha=90.00 beta=90.00 gamma=90.00
Space group I4/mcm (No. 140)
Symmetry-distinct sites (fractional):
Nd (0.0000, 0.5000, 0.2500)
Ta (0.0000, 0.0000, 0.0000)
H (0.0000, 0.0000, 0.2500)
N (0.2167, 0.2833, 0.0000)

Top 11 peaks for 2θ = 5–70°, sorted by position:
(1 1 0), d 4.126, rel. 1.5
(0 0 2), d 3.675, rel. 2.0
(2 0 0), d 2.917, rel. 51.2
(1 1 2), d 2.744, rel. 100.0
(2 2 0), d 2.063, rel. 25.7
(0 0 4), d 1.837, rel. 9.1
(2 2 2), d 1.799, rel. 0.8
(3 1 2), d 1.649, rel. 45.3
(2 0 4), d 1.555, rel. 16.4
(4 0 0), d 1.459, rel. 8.1
(2 2 4), d 1.372, rel. 13.4